Record 1
Starting from a PBE-relaxed structure, the X-ray powder pattern of BaCe2Zn2O7 was computed for Cu Kα (weighted mean of Kα1 and Kα2).
Peak positions follow from Bragg's law for the DFT cell and can differ from measured ones.

Peak list (10 most intense, 10° ≤ 2θ ≤ 90°, by angle)
hkl, 2θ/deg, I (rel.)
0 3 1, 24.20, 40
1 3 0, 24.91, 100
1 0 1, 29.12, 34
0 5 1, 30.26, 100
1 2 1, 30.52, 76
0 8 0, 36.26, 44
0 0 2, 40.75, 47
2 0 0, 42.55, 44
1 3 2, 48.36, 33
2 5 1, 53.10, 41

Crystal structure
```
data_BaCe2Zn2O7
_chemical_formula_sum 'Ba2 Ce4 Zn4 O14'
_space_group_name_H-M_alt 'I m m 2'
_space_group_IT_number 44
_space_group_name_Hall 'I 2 -2'
_cell_length_a 4.250
_cell_length_b 19.820
_cell_length_c 4.428
_cell_angle_alpha 90.00
_cell_angle_beta 90.00
_cell_angle_gamma 90.00
loop_
_atom_site_label
_atom_site_type_symbol
_atom_site_fract_x
_atom_site_fract_y
_atom_site_fract_z
Ba1 Ba 0.000 0.000 0.000
Ce1 Ce 0.000 0.386 0.971
Zn1 Zn 0.000 0.269 0.470
O1 O 0.000 0.094 0.488
O2 O 0.000 0.263 0.970
O3 O 0.000 0.372 0.471
O4 O 0.000 0.500 0.891
```


Record 2
Starting from a PBE-relaxed structure, the X-ray powder pattern of Ba5Ce4ZrO15 was computed for Cu Kα (weighted mean of Kα1 and Kα2).
Peak positions follow from Bragg's law for the DFT cell and can differ from measured ones.

Peak list (10 most intense, 10° ≤ 2θ ≤ 90°, by angle)
hkl, 2θ/deg, I (rel.)
0 10 0, 28.35, 19
2 0 0, 28.51, 100
2 10 0, 40.62, 23
0 0 2, 40.92, 12
1 15 1, 50.29, 15
3 5 1, 50.48, 24
2 0 2, 50.60, 8
4 0 0, 59.00, 19
4 10 0, 66.64, 10
5 5 1, 81.24, 8

Crystal structure
```
data_Ba5Ce4ZrO15
_chemical_formula_sum 'Ba10 Ce8 Zr2 O30'
_space_group_name_H-M_alt 'C m m m'
_space_group_IT_number 65
_space_group_name_Hall '-C 2 2'
_cell_length_a 6.268
_cell_length_b 31.483
_cell_length_c 4.411
_cell_angle_alpha 90.00
_cell_angle_beta 90.00
_cell_angle_gamma 90.00
loop_
_atom_site_label
_atom_site_type_symbol
_atom_site_fract_x
_atom_site_fract_y
_atom_site_fract_z
Ba1 Ba 0.000 0.000 0.000
Ba2 Ba 0.000 0.204 0.000
Ba3 Ba 0.000 0.408 0.000
Ce1 Ce 0.000 0.098 0.500
Ce2 Ce 0.000 0.301 0.500
Zr1 Zr 0.000 0.500 0.500
O1 O 0.000 0.092 0.000
O2 O 0.000 0.295 0.000
O3 O 0.000 0.500 0.000
O4 O 0.236 0.452 0.500
O5 O 0.246 0.149 0.500
O6 O 0.250 0.250 0.500
```


Record 3
Starting from a PBE-relaxed structure, the X-ray powder pattern of Ba3CeZr2O9 was computed for Cu Kα (weighted mean of Kα1 and Kα2).
Peak positions follow from Bragg's law for the DFT cell and can differ from measured ones.

Peak list (10 most intense, 10° ≤ 2θ ≤ 90°, by angle)
hkl, 2θ/deg, I (rel.)
1 1 0, 29.17, 100
2 0 2, 41.73, 31
1 2 2, 51.71, 30
3 0 0, 51.77, 10
0 2 4, 60.44, 10
2 2 0, 60.54, 10
3 1 2, 68.55, 18
0 4 2, 76.23, 5
1 1 6, 83.44, 5
4 1 0, 83.61, 16

Crystal structure
```
data_Ba3CeZr2O9
_chemical_formula_sum 'Ba3 Ce1 Zr2 O9'
_space_group_name_H-M_alt 'P -3 m 1'
_space_group_IT_number 164
_space_group_name_Hall '-P 3 2"'
_cell_length_a 6.1172
_cell_length_b 6.1172
_cell_length_c 7.5096
_cell_angle_alpha 90.00
_cell_angle_beta 90.00
_cell_angle_gamma 120.00
loop_
_atom_site_label
_atom_site_type_symbol
_atom_site_fract_x
_atom_site_fract_y
_atom_site_fract_z
Ba1 Ba 0.0000 0.0000 0.0000
Ba2 Ba 0.3333 0.6667 0.6703
Ce1 Ce 0.0000 0.0000 0.5000
Zr1 Zr 0.3333 0.6667 0.1606
O1 O 0.0000 0.5000 0.0000
O2 O 0.1713 0.3427 0.3253
```


Record 4
Starting from a PBE-relaxed structure, the X-ray powder pattern of BaCe2PdS5 was computed for Cu Kα (weighted mean of Kα1 and Kα2).
Peak positions follow from Bragg's law for the DFT cell and can differ from measured ones.

Peak list (10 most intense, 10° ≤ 2θ ≤ 90°, by angle)
hkl, 2θ/deg, I (rel.)
0 0 4, 25.77, 42
2 0 2, 26.38, 100
2 1 1, 26.53, 34
2 1 3, 32.34, 90
2 2 0, 32.71, 31
3 1 0, 36.70, 29
2 1 5, 41.80, 43
2 2 4, 42.10, 26
2 0 6, 45.82, 23
4 0 2, 48.87, 32

Crystal structure
```
data_BaCe2PdS5
_chemical_formula_sum 'Ba4 Ce8 Pd4 S20'
_space_group_name_H-M_alt 'I 4/m c m'
_space_group_IT_number 140
_space_group_name_Hall '-I 4 2c'
_cell_length_a 7.744
_cell_length_b 7.744
_cell_length_c 13.827
_cell_angle_alpha 90.00
_cell_angle_beta 90.00
_cell_angle_gamma 90.00
loop_
_atom_site_label
_atom_site_type_symbol
_atom_site_fract_x
_atom_site_fract_y
_atom_site_fract_z
Ba1 Ba 0.000 0.000 0.250
Ce1 Ce 0.161 0.339 0.000
Pd1 Pd 0.000 0.500 0.250
S1 S 0.000 0.000 0.000
S2 S 0.151 0.349 0.374
```


Record 5
Starting from a PBE-relaxed structure, the X-ray powder pattern of Ba2CeSnPd6 was computed for Cu Kα (weighted mean of Kα1 and Kα2).
Peak positions follow from Bragg's law for the DFT cell and can differ from measured ones.

Peak list (10 most intense, 10° ≤ 2θ ≤ 90°, by angle)
hkl, 2θ/deg, I (rel.)
2 0 0, 17.15, 19
2 2 0, 24.34, 34
2 2 2, 29.93, 62
4 0 0, 34.70, 100
4 2 2, 42.84, 15
4 4 0, 49.88, 71
6 2 2, 59.27, 25
4 4 4, 62.19, 24
8 0 0, 73.22, 11
8 4 0, 83.63, 32

Crystal structure
```
data_Ba2CeSnPd6
_chemical_formula_sum 'Ba8 Ce4 Sn4 Pd24'
_space_group_name_H-M_alt 'F m -3 m'
_space_group_IT_number 225
_space_group_name_Hall '-F 4 2 3'
_cell_length_a 10.342
_cell_length_b 10.342
_cell_length_c 10.342
_cell_angle_alpha 90.00
_cell_angle_beta 90.00
_cell_angle_gamma 90.00
loop_
_atom_site_label
_atom_site_type_symbol
_atom_site_fract_x
_atom_site_fract_y
_atom_site_fract_z
Ba1 Ba 0.250 0.250 0.250
Ce1 Ce 0.000 0.000 0.000
Sn1 Sn 0.000 0.000 0.500
Pd1 Pd 0.000 0.000 0.247
```


Record 6
Starting from a PBE-relaxed structure, the X-ray powder pattern of BaCe2Pt was computed for Cu Kα (weighted mean of Kα1 and Kα2).
Peak positions follow from Bragg's law for the DFT cell and can differ from measured ones.

Peak list (10 most intense, 10° ≤ 2θ ≤ 90°, by angle)
hkl, 2θ/deg, I (rel.)
0 0 6, 16.44, 32
0 1 2, 25.80, 74
0 1 5, 28.78, 41
0 1 8, 33.68, 100
1 0 10, 37.70, 48
1 1 0, 44.39, 51
1 0 16, 52.10, 33
2 0 8, 56.86, 22
1 1 18, 69.73, 24
1 2 8, 74.86, 20

Crystal structure
```
data_BaCe2Pt
_chemical_formula_sum 'Ba3 Ce6 Pt3'
_space_group_name_H-M_alt 'R -3 m'
_space_group_IT_number 166
_space_group_name_Hall '-R 3 2"'
_cell_length_a 4.0811
_cell_length_b 4.0811
_cell_length_c 32.3501
_cell_angle_alpha 90.00
_cell_angle_beta 90.00
_cell_angle_gamma 120.00
loop_
_atom_site_label
_atom_site_type_symbol
_atom_site_fract_x
_atom_site_fract_y
_atom_site_fract_z
Ba1 Ba 0.0000 0.0000 0.0000
Ce1 Ce 0.0000 0.0000 0.1165
Pt1 Pt 0.0000 0.0000 0.5000
```